This entry pairs a crystal structure of LaTb2PmMg with its calculated powder XRD pattern. Radiation: copper Kα. Structure: a crystal structure in Alexandria, relaxed with PBE.
No peak broadening, texture or thermal motion is included.

Structure:
Lattice parameters (Å, degrees): 4.971 6.186 11.290 90.39 90.00 113.67
Fractional positions:
La  0.047  0.093  0.347
La  0.953  0.907  0.653
Tb  0.147  0.295  0.047
Tb  0.345  0.689  0.449
Tb  0.655  0.311  0.551
Tb  0.853  0.705  0.953
Pm  0.251  0.503  0.757
Pm  0.749  0.497  0.243
Mg  0.446  0.892  0.138
Mg  0.554  0.108  0.862

Principal peaks in the range 10° ≤ 2θ ≤ 90°, in order of rising 2θ:
(1 0 -3), 2.904 Å, intensity 1000; (-1 2 1), 2.901 Å, intensity 348; (0 2 -2), 2.539 Å, intensity 231; (0 1 4), 2.519 Å, intensity 228; (2 -1 0), 2.485 Å, intensity 217; (2 1 -2), 1.776 Å, intensity 158; (2 0 4), 1.769 Å, intensity 159; (1 2 -5), 1.527 Å, intensity 189; (1 0 7), 1.518 Å, intensity 182; (3 -2 3), 1.503 Å, intensity 185